Structure and computed powder X-ray diffraction pattern of Mg6VH16 (DFT lattice parameters and positions (GGA-PBE); Cu Kα, 1.54184 Å).
Lines closer than 0.1° are merged.

Peak list (12 most intense, 15 to 90 degrees two-theta, in order of rising 2θ)
16.44°, intensity 42.5; 31.78°, intensity 21.2; 33.24°, intensity 100.0; 38.57°, intensity 40.2; 42.18°, intensity 7.8; 50.81°, intensity 6.1; 55.68°, intensity 35.4; 58.47°, intensity 6.5; 66.41°, intensity 35.9; 69.78°, intensity 9.5; 78.71°, intensity 3.7; 82.67°, intensity 4.8

Atomic structure:
Cell lengths 6.603, 6.603, 6.603 Å; angles 60.00, 60.00, 60.00 degrees
Element x y z (fractional)
1 Mg 0.000 0.000 0.500
2 Mg 0.000 0.500 0.000
3 Mg 0.000 0.500 0.500
4 Mg 0.500 0.000 0.000
5 Mg 0.500 0.000 0.500
6 Mg 0.500 0.500 0.000
7 V 0.000 0.000 0.000
8 H 0.071 0.643 0.643
9 H 0.110 0.110 0.110
10 H 0.110 0.110 0.670
11 H 0.110 0.670 0.110
12 H 0.330 0.890 0.890
13 H 0.357 0.357 0.357
14 H 0.357 0.357 0.929
15 H 0.357 0.929 0.357
16 H 0.643 0.071 0.643
17 H 0.643 0.643 0.071
18 H 0.643 0.643 0.643
19 H 0.670 0.110 0.110
20 H 0.890 0.330 0.890
21 H 0.890 0.890 0.330
22 H 0.890 0.890 0.890
23 H 0.929 0.357 0.357

***

Structure and computed powder X-ray diffraction pattern of YEr4Tm10 (DFT lattice parameters and positions (GGA-PBE); Cu Kα, 1.54184 Å).
Lines closer than 0.1° are merged.

Peak list (12 most intense, 15 to 90 degrees two-theta, in order of rising 2θ)
20.28°, intensity 22.5; 23.46°, intensity 17.8; 33.42°, intensity 100.0; 39.41°, intensity 12.3; 41.24°, intensity 5.5; 47.99°, intensity 18.3; 52.61°, intensity 5.3; 54.09°, intensity 7.5; 59.74°, intensity 38.0; 70.21°, intensity 11.8; 80.00°, intensity 11.0; 80.10°, intensity 5.5

Atomic structure:
Cell lengths 9.289, 9.289, 9.289 Å; angles 99.57, 99.57, 131.86 degrees
Element x y z (fractional)
1 Y 0.000 0.000 0.000
2 Er 0.200 0.400 0.600
3 Er 0.400 0.800 0.201
4 Er 0.600 0.200 0.799
5 Er 0.800 0.600 0.400
6 Tm 0.050 0.352 0.900
7 Tm 0.151 0.050 0.698
8 Tm 0.250 0.750 0.500
9 Tm 0.352 0.453 0.302
10 Tm 0.453 0.151 0.100
11 Tm 0.547 0.849 0.900
12 Tm 0.648 0.547 0.698
13 Tm 0.750 0.250 0.500
14 Tm 0.849 0.950 0.302
15 Tm 0.950 0.648 0.100

***

Structure and computed powder X-ray diffraction pattern of Mg9AlPb2 (DFT lattice parameters and positions (GGA-PBE); Cu Kα, 1.54184 Å).
Lines closer than 0.1° are merged.

Peak list (12 most intense, 15 to 90 degrees two-theta, in order of rising 2θ)
19.68°, intensity 84.4; 20.77°, intensity 22.2; 23.71°, intensity 20.5; 27.97°, intensity 73.5; 34.43°, intensity 100.0; 39.86°, intensity 16.2; 40.02°, intensity 33.4; 44.97°, intensity 28.4; 49.52°, intensity 21.5; 57.77°, intensity 21.8; 61.68°, intensity 17.0; 69.12°, intensity 26.3

Atomic structure:
Cell lengths 4.506, 4.506, 13.569 Å; angles 90.00, 90.00, 90.00 degrees
Element x y z (fractional)
1 Mg 0.000 0.000 0.000
2 Mg 0.000 0.000 0.329
3 Mg 0.000 0.000 0.671
4 Mg 0.000 0.500 0.155
5 Mg 0.000 0.500 0.500
6 Mg 0.000 0.500 0.845
7 Mg 0.500 0.000 0.155
8 Mg 0.500 0.000 0.500
9 Mg 0.500 0.000 0.845
10 Al 0.500 0.500 0.000
11 Pb 0.500 0.500 0.330
12 Pb 0.500 0.500 0.670

***

Structure and computed powder X-ray diffraction pattern of CsRb2AgF6 (DFT lattice parameters and positions (GGA-PBE); Cu Kα, 1.54184 Å).
Lines closer than 0.1° are merged.

Peak list (12 most intense, 15 to 90 degrees two-theta, in order of rising 2θ)
18.26°, intensity 10.5; 25.93°, intensity 100.0; 37.00°, intensity 36.2; 41.56°, intensity 3.7; 45.74°, intensity 39.9; 53.33°, intensity 22.5; 56.85°, intensity 1.6; 60.23°, intensity 20.6; 66.68°, intensity 7.1; 72.83°, intensity 22.5; 78.79°, intensity 3.2; 84.62°, intensity 10.7

Atomic structure:
Cell lengths 6.872, 6.872, 6.872 Å; angles 60.00, 60.00, 60.00 degrees
Element x y z (fractional)
1 Cs 0.000 0.000 0.000
2 Rb 0.250 0.250 0.250
3 Rb 0.750 0.750 0.750
4 Ag 0.500 0.500 0.500
5 F 0.282 0.282 0.718
6 F 0.282 0.718 0.282
7 F 0.282 0.718 0.718
8 F 0.718 0.282 0.282
9 F 0.718 0.282 0.718
10 F 0.718 0.718 0.282

***

Structure and computed powder X-ray diffraction pattern of Pm4Dy8Ho3 (DFT lattice parameters and positions (GGA-PBE); Cu Kα, 1.54184 Å).
Lines closer than 0.1° are merged.

Peak list (12 most intense, 15 to 90 degrees two-theta, in order of rising 2θ)
26.76°, intensity 15.8; 29.83°, intensity 24.2; 30.27°, intensity 55.2; 31.41°, intensity 100.0; 34.69°, intensity 13.4; 36.10°, intensity 73.1; 51.23°, intensity 23.3; 52.71°, intensity 36.4; 60.67°, intensity 17.3; 62.00°, intensity 44.9; 62.66°, intensity 14.0; 86.54°, intensity 16.0

Atomic structure:
Cell lengths 12.471, 12.471, 12.471 Å; angles 32.34, 32.34, 32.34 degrees
Element x y z (fractional)
1 Pm 0.000 0.000 0.000
2 Pm 0.163 0.163 0.163
3 Pm 0.500 0.500 0.500
4 Pm 0.837 0.837 0.837
5 Dy 0.250 0.250 0.747
6 Dy 0.250 0.747 0.250
7 Dy 0.253 0.750 0.750
8 Dy 0.255 0.255 0.255
9 Dy 0.745 0.745 0.745
10 Dy 0.747 0.250 0.250
11 Dy 0.750 0.253 0.750
12 Dy 0.750 0.750 0.253
13 Ho 0.000 0.500 0.500
14 Ho 0.500 0.000 0.500
15 Ho 0.500 0.500 0.000

***

Structure and computed powder X-ray diffraction pattern of K4RbPu3O12 (DFT lattice parameters and positions (GGA-PBE); Cu Kα, 1.54184 Å).
Lines closer than 0.1° are merged.

Peak list (12 most intense, 15 to 90 degrees two-theta, in order of rising 2θ)
20.13°, intensity 70.3; 24.72°, intensity 9.0; 28.61°, intensity 100.0; 35.23°, intensity 9.3; 40.91°, intensity 30.6; 46.00°, intensity 32.9; 50.68°, intensity 40.7; 59.24°, intensity 19.1; 63.23°, intensity 16.3; 67.09°, intensity 19.2; 78.11°, intensity 7.7; 81.66°, intensity 22.1

Atomic structure:
Cell lengths 7.641, 7.641, 7.641 Å; angles 109.47, 109.47, 109.47 degrees
Element x y z (fractional)
1 K 0.000 0.000 0.500
2 K 0.000 0.500 0.000
3 K 0.500 0.000 0.000
4 K 0.500 0.500 0.500
5 Rb 0.000 0.000 0.000
6 Pu 0.000 0.500 0.500
7 Pu 0.500 0.000 0.500
8 Pu 0.500 0.500 0.000
9 O 0.000 0.291 0.291
10 O 0.000 0.709 0.709
11 O 0.250 0.500 0.750
12 O 0.250 0.750 0.500
13 O 0.291 0.000 0.291
14 O 0.291 0.291 0.000
15 O 0.500 0.250 0.750
16 O 0.500 0.750 0.250
17 O 0.709 0.000 0.709
18 O 0.709 0.709 0.000
19 O 0.750 0.250 0.500
20 O 0.750 0.500 0.250

***

Structure and computed powder X-ray diffraction pattern of CaEr3Pb2 (DFT lattice parameters and positions (GGA-PBE); Cu Kα, 1.54184 Å).
Lines closer than 0.1° are merged.

Peak list (12 most intense, 15 to 90 degrees two-theta, in order of rising 2θ)
19.67°, intensity 19.4; 21.20°, intensity 34.3; 26.86°, intensity 17.4; 29.85°, intensity 49.7; 31.19°, intensity 60.7; 32.86°, intensity 29.8; 34.83°, intensity 100.0; 34.97°, intensity 25.4; 37.49°, intensity 24.5; 38.38°, intensity 51.5; 42.41°, intensity 19.4; 52.85°, intensity 33.8

Atomic structure:
Cell lengths 9.358, 9.358, 9.481 Å; angles 111.70, 111.70, 29.02 degrees
Element x y z (fractional)
1 Ca 0.111 0.111 0.124
2 Ca 0.889 0.889 0.876
3 Er 0.058 0.058 0.687
4 Er 0.306 0.306 0.113
5 Er 0.357 0.357 0.514
6 Er 0.643 0.643 0.486
7 Er 0.694 0.694 0.887
8 Er 0.942 0.942 0.313
9 Pb 0.244 0.244 0.712
10 Pb 0.493 0.493 0.162
11 Pb 0.507 0.507 0.838
12 Pb 0.756 0.756 0.288

***

Structure and computed powder X-ray diffraction pattern of LiSn (DFT lattice parameters and positions (GGA-PBE); Cu Kα, 1.54184 Å).
Lines closer than 0.1° are merged.

Peak list (12 most intense, 15 to 90 degrees two-theta, in order of rising 2θ)
19.89°, intensity 88.4; 29.16°, intensity 70.4; 35.55°, intensity 100.0; 40.40°, intensity 17.7; 41.71°, intensity 32.4; 46.61°, intensity 40.1; 50.60°, intensity 31.7; 59.47°, intensity 23.4; 64.31°, intensity 15.9; 70.33°, intensity 14.5; 72.14°, intensity 27.2; 82.65°, intensity 16.8

Atomic structure:
Cell lengths 3.063, 3.063, 4.465 Å; angles 90.00, 90.00, 90.00 degrees
Element x y z (fractional)
1 Li 0.000 0.000 0.000
2 Sn 0.500 0.500 0.500